AcMg2Zn6: simulated X-ray diffraction stick pattern (λ = 1.5418 Å (Cu Kα)), based on the GGA-PBE geometry in Alexandria.

Largest 12 diffraction maxima, in order of rising 2θ, 2θ = 10–90°:
d = 6.293 Å, I = 68; d = 3.147 Å, I = 64; d = 3.123 Å, I = 100; d = 2.945 Å, I = 32; d = 2.671 Å, I = 98; d = 2.379 Å, I = 27; d = 2.367 Å, I = 45; d = 2.098 Å, I = 70; d = 2.070 Å, I = 32; d = 1.850 Å, I = 44; d = 1.729 Å, I = 23; d = 1.474 Å, I = 44

```
data_AcMg2Zn6
_chemical_formula_sum 'Ac2 Mg4 Zn12'
_cell_length_a 4.1403
_cell_length_b 7.2772
_cell_length_c 12.5696
_cell_angle_alpha 90.00
_cell_angle_beta 90.00
_cell_angle_gamma 90.00
_symmetry_space_group_name_H-M 'I m m m'
_symmetry_Int_Tables_number 71
_symmetry_space_group_name_Hall '-I 2 2'
loop_
_atom_site_label
_atom_site_type_symbol
_atom_site_fract_x
_atom_site_fract_y
_atom_site_fract_z
_atom_site_occupancy
Ac1 Ac 0.0000 0.0000 0.0000 1
Mg1 Mg 0.0000 0.5000 0.1262 1
Zn1 Zn 0.0000 0.1688 0.5000 1
Zn2 Zn 0.0000 0.2945 0.3116 1
```